1.
For SmEr2ThSc, DFT lattice parameters and positions (GGA-PBE) gives the computed powder X-ray diffraction pattern in this record (Cu Kα (weighted mean of Kα1 and Kα2)).
Peak positions follow from Bragg's law for the DFT cell and can differ from measured ones.

Main lines, low angle first (2θ = 10–90°):
2θ/deg  I_rel  hkl
10.02  23  0 0 1
29.07  23  2 0 -1
31.70  38  0 2 0
33.21  100  1 1 2
33.32  52  1 1 -3
57.46  31  1 3 2

Structure:
```
data_SmEr2ThSc
_cell_length_a 6.1506
_cell_length_b 5.6454
_cell_length_c 9.3397
_cell_angle_alpha 90.00
_cell_angle_beta 109.05
_cell_angle_gamma 90.00
_symmetry_space_group_name_H-M 'P 1 21/m 1'
_symmetry_Int_Tables_number 11
loop_
_symmetry_equiv_pos_as_xyz
'x,y,z'
'-x,-y,-z'
'-x,y+1/2,-z'
'x,-y+1/2,z'
loop_
_atom_site_label
_atom_site_type_symbol
_atom_site_fract_x
_atom_site_fract_y
_atom_site_fract_z
Sm1 Sm 0.2358 0.2500 0.3074
Er1 Er 0.0382 0.2500 0.8969
Er2 Er 0.4225 0.2500 0.6965
Th1 Th 0.3734 0.7500 0.9021
Sc1 Sc 0.1624 0.7500 0.5074
```

2.
For Dy2HoCd5, DFT lattice parameters and positions (GGA-PBE) gives the computed powder X-ray diffraction pattern in this record (Cu Kα (weighted mean of Kα1 and Kα2)).
Peak positions follow from Bragg's law for the DFT cell and can differ from measured ones.

Main lines, low angle first (2θ = 10–90°):
2θ/deg  I_rel  hkl
34.44  100  1 1 4
35.05  49  2 0 0
50.41  17  2 2 0
61.29  17  2 0 8
62.48  34  3 1 4
72.60  10  2 2 8

Structure:
```
data_Dy2HoCd5
_cell_length_a 5.1199
_cell_length_b 5.1199
_cell_length_c 14.9975
_cell_angle_alpha 90.00
_cell_angle_beta 90.00
_cell_angle_gamma 90.00
_symmetry_space_group_name_H-M 'I 4/m m m'
_symmetry_Int_Tables_number 139
_symmetry_space_group_name_Hall '-I 4 2'
loop_
_atom_site_label
_atom_site_type_symbol
_atom_site_fract_x
_atom_site_fract_y
_atom_site_fract_z
Dy1 Dy 0.0000 0.0000 0.2396
Ho1 Ho 0.0000 0.0000 0.5000
Cd1 Cd 0.0000 0.0000 0.0000
Cd2 Cd 0.0000 0.5000 0.1191
```

3.
For Pr2Nd3In3, DFT lattice parameters and positions (GGA-PBE) gives the computed powder X-ray diffraction pattern in this record (Cu Kα (weighted mean of Kα1 and Kα2)).
Peak positions follow from Bragg's law for the DFT cell and can differ from measured ones.

Main lines, low angle first (2θ = 10–90°):
2θ/deg  I_rel  hkl
31.35  100  1 1 4
33.87  18  0 0 8
35.36  19  0 2 0
39.63  14  2 0 0
49.77  12  0 2 8
60.99  15  1 3 4

Structure:
```
data_Pr2Nd3In3
_cell_length_a 4.5487
_cell_length_b 5.0766
_cell_length_c 21.1729
_cell_angle_alpha 90.00
_cell_angle_beta 90.00
_cell_angle_gamma 90.00
_symmetry_space_group_name_H-M 'I m m m'
_symmetry_Int_Tables_number 71
_symmetry_space_group_name_Hall '-I 2 2'
loop_
_atom_site_label
_atom_site_type_symbol
_atom_site_fract_x
_atom_site_fract_y
_atom_site_fract_z
Pr1 Pr 0.0000 0.0000 0.2361
Nd1 Nd 0.0000 0.0000 0.0000
Nd2 Nd 0.0000 0.5000 0.1185
In1 In 0.0000 0.0000 0.5000
In2 In 0.0000 0.5000 0.3769
```

4.
For Nd2MgSe4, DFT lattice parameters and positions (GGA-PBE) gives the computed powder X-ray diffraction pattern in this record (Cu Kα (weighted mean of Kα1 and Kα2)).
Peak positions follow from Bragg's law for the DFT cell and can differ from measured ones.

Main lines, low angle first (2θ = 10–90°):
2θ/deg  I_rel  hkl
30.86  58  1 0 3
32.32  48  3 0 1
32.50  100  3 1 0
37.27  86  2 1 3
38.51  36  3 2 1
47.89  27  3 2 3

Structure:
```
data_Nd2MgSe4
_cell_length_a 8.7130
_cell_length_b 8.7130
_cell_length_c 9.2170
_cell_angle_alpha 90.00
_cell_angle_beta 90.00
_cell_angle_gamma 90.00
_symmetry_space_group_name_H-M 'I -4 2 d'
_symmetry_Int_Tables_number 122
_symmetry_space_group_name_Hall 'I -4 2bw'
loop_
_atom_site_label
_atom_site_type_symbol
_atom_site_fract_x
_atom_site_fract_y
_atom_site_fract_z
Nd1 Nd 0.1264 0.7500 0.1250
Mg1 Mg 0.0000 0.0000 0.5000
Se1 Se 0.0686 0.6972 0.4427
```

5.
For Ac3SeO7, DFT lattice parameters and positions (GGA-PBE) gives the computed powder X-ray diffraction pattern in this record (Cu Kα (weighted mean of Kα1 and Kα2)).
Peak positions follow from Bragg's law for the DFT cell and can differ from measured ones.

Main lines, low angle first (2θ = 10–90°):
2θ/deg  I_rel  hkl
26.67  100  1 2 -1
26.88  51  0 0 2
27.40  49  2 0 0
30.90  53  1 2 1
44.52  28  1 2 -3
45.20  28  3 2 -1

Structure:
```
data_Ac3SeO7
_cell_length_a 6.8765
_cell_length_b 8.2952
_cell_length_c 7.0071
_cell_angle_alpha 90.00
_cell_angle_beta 108.80
_cell_angle_gamma 90.00
_symmetry_space_group_name_H-M 'P 1 21 1'
_symmetry_Int_Tables_number 4
loop_
_symmetry_equiv_pos_as_xyz
'x,y,z'
'-x,y+1/2,-z'
loop_
_atom_site_label
_atom_site_type_symbol
_atom_site_fract_x
_atom_site_fract_y
_atom_site_fract_z
Ac1 Ac 0.9998 0.0000 0.0304
Ac2 Ac 0.4767 0.0006 0.5029
Ac3 Ac 0.4866 0.2453 0.0074
Se1 Se 0.0054 0.7751 0.5090
O1 O 0.0493 0.9728 0.4481
O2 O 0.0561 0.7793 0.7755
O3 O 0.0976 0.2316 0.8583
O4 O 0.2729 0.2745 0.5439
O5 O 0.3327 0.7321 0.5819
O6 O 0.3725 0.5112 0.1322
O7 O 0.3716 0.9768 0.1395
```

6.
For DyCu2Sb2, DFT lattice parameters and positions (GGA-PBE) gives the computed powder X-ray diffraction pattern in this record (Cu Kα (weighted mean of Kα1 and Kα2)).
Peak positions follow from Bragg's law for the DFT cell and can differ from measured ones.

Main lines, low angle first (2θ = 10–90°):
2θ/deg  I_rel  hkl
31.72  56  1 3 1
32.12  19  0 8 0
35.67  100  1 5 1
41.82  32  2 0 0
41.99  33  0 0 2
60.75  20  2 0 2

Structure:
```
data_DyCu2Sb2
_cell_length_a 4.3203
_cell_length_b 22.2938
_cell_length_c 4.3038
_cell_angle_alpha 90.00
_cell_angle_beta 90.00
_cell_angle_gamma 90.00
_symmetry_space_group_name_H-M 'C m c m'
_symmetry_Int_Tables_number 63
_symmetry_space_group_name_Hall '-C 2c 2'
loop_
_atom_site_label
_atom_site_type_symbol
_atom_site_fract_x
_atom_site_fract_y
_atom_site_fract_z
Dy1 Dy 0.0000 0.1393 0.2500
Cu1 Cu 0.0000 0.0292 0.7500
Cu2 Cu 0.0000 0.4697 0.7500
Sb1 Sb 0.0000 0.2499 0.7500
Sb2 Sb 0.0000 0.3998 0.2500
```

7.
For Ho3Er2Hg2, DFT lattice parameters and positions (GGA-PBE) gives the computed powder X-ray diffraction pattern in this record (Cu Kα (weighted mean of Kα1 and Kα2)).
Peak positions follow from Bragg's law for the DFT cell and can differ from measured ones.

Main lines, low angle first (2θ = 10–90°):
2θ/deg  I_rel  hkl
32.96  95  1 1 2
33.77  100  0 2 0
47.91  34  4 0 1
58.34  14  2 0 4
59.89  35  4 2 1
60.41  19  6 0 -2

Structure:
```
data_Ho3Er2Hg2
_cell_length_a 9.2010
_cell_length_b 5.3047
_cell_length_c 8.4349
_cell_angle_alpha 90.00
_cell_angle_beta 111.25
_cell_angle_gamma 90.00
_symmetry_space_group_name_H-M 'C 1 2/m 1'
_symmetry_Int_Tables_number 12
loop_
_symmetry_equiv_pos_as_xyz
'x,y,z'
'-x,-y,-z'
'-x,y,-z'
'x,-y,z'
'x+1/2,y+1/2,z'
'-x+1/2,-y+1/2,-z'
'-x+1/2,y+1/2,-z'
'x+1/2,-y+1/2,z'
loop_
_atom_site_label
_atom_site_type_symbol
_atom_site_fract_x
_atom_site_fract_y
_atom_site_fract_z
Ho1 Ho 0.0000 0.0000 0.0000
Ho2 Ho 0.1575 0.0000 0.4728
Er1 Er 0.0748 0.5000 0.7245
Hg1 Hg 0.2130 0.5000 0.1396
```

8.
For Tb2PrSmSc, DFT lattice parameters and positions (GGA-PBE) gives the computed powder X-ray diffraction pattern in this record (Cu Kα (weighted mean of Kα1 and Kα2)).
Peak positions follow from Bragg's law for the DFT cell and can differ from measured ones.

Main lines, low angle first (2θ = 10–90°):
2θ/deg  I_rel  hkl
30.88  100  1 1 2
35.66  17  0 2 0
35.77  17  1 0 -3
35.99  16  3 0 1
51.57  17  3 2 1
61.10  14  1 3 2

Structure:
```
data_Tb2PrSmSc
_cell_length_a 7.9025
_cell_length_b 5.0359
_cell_length_c 7.9276
_cell_angle_alpha 90.00
_cell_angle_beta 90.33
_cell_angle_gamma 90.00
_symmetry_space_group_name_H-M 'P 1 21/m 1'
_symmetry_Int_Tables_number 11
loop_
_symmetry_equiv_pos_as_xyz
'x,y,z'
'-x,-y,-z'
'-x,y+1/2,-z'
'x,-y+1/2,z'
loop_
_atom_site_label
_atom_site_type_symbol
_atom_site_fract_x
_atom_site_fract_y
_atom_site_fract_z
Tb1 Tb 0.1469 0.2500 0.0471
Tb2 Tb 0.3396 0.2500 0.4478
Pr1 Pr 0.2446 0.7500 0.7415
Sm1 Sm 0.4443 0.7500 0.1526
Sc1 Sc 0.0482 0.7500 0.3508
```

9.
For K3Pb5Au2, DFT lattice parameters and positions (GGA-PBE) gives the computed powder X-ray diffraction pattern in this record (Cu Kα (weighted mean of Kα1 and Kα2)).
Peak positions follow from Bragg's law for the DFT cell and can differ from measured ones.

Main lines, low angle first (2θ = 10–90°):
2θ/deg  I_rel  hkl
10.59  36  1 1 0
16.78  100  2 1 0
30.79  87  3 1 1
33.54  71  3 2 1
36.10  51  4 0 1
39.01  33  0 0 2

Structure:
```
data_K3Pb5Au2
_cell_length_a 11.8129
_cell_length_b 11.8129
_cell_length_c 4.6173
_cell_angle_alpha 90.00
_cell_angle_beta 90.00
_cell_angle_gamma 90.00
_symmetry_space_group_name_H-M 'P 4/m b m'
_symmetry_Int_Tables_number 127
_symmetry_space_group_name_Hall '-P 4 2ab'
loop_
_atom_site_label
_atom_site_type_symbol
_atom_site_fract_x
_atom_site_fract_y
_atom_site_fract_z
K1 K 0.0000 0.0000 0.0000
K2 K 0.1712 0.3288 0.0000
Pb1 Pb 0.0000 0.5000 0.5000
Pb2 Pb 0.0685 0.7746 0.5000
Au1 Au 0.1306 0.6306 0.0000
```

10.
For LuB5, DFT lattice parameters and positions (GGA-PBE) gives the computed powder X-ray diffraction pattern in this record (Cu Kα (weighted mean of Kα1 and Kα2)).
Peak positions follow from Bragg's law for the DFT cell and can differ from measured ones.

Main lines, low angle first (2θ = 10–90°):
2θ/deg  I_rel  hkl
20.23  100  1 1 0
24.12  41  0 2 0
32.79  33  2 0 0
35.78  66  1 1 1
38.23  30  0 2 1
50.46  29  1 3 1

Structure:
```
data_LuB5
_cell_length_a 5.4631
_cell_length_b 7.3782
_cell_length_c 3.0582
_cell_angle_alpha 90.00
_cell_angle_beta 90.00
_cell_angle_gamma 90.00
_symmetry_space_group_name_H-M 'C m m m'
_symmetry_Int_Tables_number 65
_symmetry_space_group_name_Hall '-C 2 2'
loop_
_atom_site_label
_atom_site_type_symbol
_atom_site_fract_x
_atom_site_fract_y
_atom_site_fract_z
Lu1 Lu 0.0000 0.0000 0.0000
B1 B 0.0000 0.2715 0.5000
B2 B 0.0000 0.3730 0.0000
B3 B 0.0000 0.5000 0.5000
```

Number 10 is which compound?
LuB5

Please write out number 6 again, unchanged.
For DyCu2Sb2, DFT lattice parameters and positions (GGA-PBE) gives the computed powder X-ray diffraction pattern in this record (Cu Kα (weighted mean of Kα1 and Kα2)).
Peak positions follow from Bragg's law for the DFT cell and can differ from measured ones.

Main lines, low angle first (2θ = 10–90°):
2θ/deg  I_rel  hkl
31.72  56  1 3 1
32.12  19  0 8 0
35.67  100  1 5 1
41.82  32  2 0 0
41.99  33  0 0 2
60.75  20  2 0 2

Structure:
```
data_DyCu2Sb2
_cell_length_a 4.3203
_cell_length_b 22.2938
_cell_length_c 4.3038
_cell_angle_alpha 90.00
_cell_angle_beta 90.00
_cell_angle_gamma 90.00
_symmetry_space_group_name_H-M 'C m c m'
_symmetry_Int_Tables_number 63
_symmetry_space_group_name_Hall '-C 2c 2'
loop_
_atom_site_label
_atom_site_type_symbol
_atom_site_fract_x
_atom_site_fract_y
_atom_site_fract_z
Dy1 Dy 0.0000 0.1393 0.2500
Cu1 Cu 0.0000 0.0292 0.7500
Cu2 Cu 0.0000 0.4697 0.7500
Sb1 Sb 0.0000 0.2499 0.7500
Sb2 Sb 0.0000 0.3998 0.2500
```